(1)
Diffraction record for Na3Zr2Si2PO12. The X-ray diffraction stick pattern is computed, not measured: it uses a DFT-relaxed cell (PBE, Alexandria) and Cu Kα.
Peak positions follow from Bragg's law for the DFT cell and can differ from measured ones.

Main lines, low angle first (10° ≤ 2θ ≤ 80°):
hkl 2 0 0, 13.56°, 6.530 Å, intensity 35; hkl 2 0 -2, 19.11°, 4.645 Å, intensity 96; hkl 0 2 0, 19.35°, 4.588 Å, intensity 100; hkl 3 1 -2, 22.62°, 3.931 Å, intensity 50; hkl 4 0 0, 27.32°, 3.264 Å, intensity 55; hkl 3 1 1, 30.43°, 2.938 Å, intensity 87; hkl 3 1 -3, 30.54°, 2.927 Å, intensity 42; hkl 3 3 -1, 33.81°, 2.651 Å, intensity 53; hkl 6 0 -2, 33.93°, 2.642 Å, intensity 26; hkl 6 2 0, 46.12°, 1.968 Å, intensity 36

Cell and atoms:
Cell lengths 15.8544, 9.1946, 9.2665 Å; angles 90.00, 124.52, 90.00 degrees
Space group C2 (No. 5)
Inequivalent atoms, fractional coordinates:
Na  0.0000  0.0000  0.0000 (multiplicity 2)
Na  0.0000  0.2137  0.5000 (multiplicity 2)
Na  0.1659  0.6968  0.4303 (multiplicity 4)
Na  0.2354  0.3783  0.7644 (multiplicity 4)
Zr  0.1012  0.3675  0.3060 (multiplicity 4)
Zr  0.1011  0.8596  0.8071 (multiplicity 4)
Si  0.0000  0.5685  0.5000 (multiplicity 2)
Si  0.0000  0.6657  0.0000 (multiplicity 2)
Si  0.1423  0.0090  0.4932 (multiplicity 4)
P  0.1428  0.2201  0.9873 (multiplicity 4)
O  0.0487  0.2705  0.8061 (multiplicity 4)
O  0.0486  0.9350  0.3087 (multiplicity 4)
O  0.0584  0.5609  0.1744 (multiplicity 4)
O  0.0642  0.6736  0.6718 (multiplicity 4)
O  0.0828  0.4652  0.4946 (multiplicity 4)
O  0.0859  0.7729  0.0071 (multiplicity 4)
O  0.1225  0.9828  0.6461 (multiplicity 4)
O  0.1239  0.2592  0.1302 (multiplicity 4)
O  0.1528  0.0521  0.9920 (multiplicity 4)
O  0.1539  0.1847  0.4792 (multiplicity 4)
O  0.2383  0.2964  0.0187 (multiplicity 4)
O  0.2470  0.9296  0.5358 (multiplicity 4)

=====

(2)
Diffraction record for Tb2Nd6Ho3. The X-ray diffraction stick pattern is computed, not measured: it uses a DFT-relaxed cell (PBE, Alexandria) and Cu Kα.
Peak positions follow from Bragg's law for the DFT cell and can differ from measured ones.

Main lines, low angle first (10° ≤ 2θ ≤ 80°):
hkl 0 1 2, 30.28°, 2.952 Å, intensity 100; hkl 2 0 1, 35.05°, 2.560 Å, intensity 34; hkl 1 -3 0, 35.20°, 2.550 Å, intensity 17; hkl 1 -1 4, 50.35°, 1.812 Å, intensity 6; hkl 1 3 1, 50.49°, 1.807 Å, intensity 24; hkl 0 4 -3, 50.59°, 1.804 Å, intensity 6; hkl 2 1 3, 59.88°, 1.545 Å, intensity 11; hkl 3 2 0, 59.98°, 1.542 Å, intensity 18; hkl 2 -5 2, 60.14°, 1.539 Å, intensity 14; hkl 2 4 -2, 63.01°, 1.475 Å, intensity 9

Cell and atoms:
Cell lengths 6.2632, 8.0614, 8.0971 Å; angles 107.41, 97.34, 104.89 degrees
Space group P-1 (No. 2)
Inequivalent atoms, fractional coordinates:
Tb  0.2289  0.4108  0.0465 (multiplicity 2)
Nd  0.0471  0.6819  0.4083 (multiplicity 2)
Nd  0.1363  0.0461  0.2299 (multiplicity 2)
Nd  0.3196  0.7714  0.8652 (multiplicity 2)
Ho  0.4093  0.1383  0.6823 (multiplicity 2)
Ho  0.5000  0.5000  0.5000 (multiplicity 1)

=====

(3)
Diffraction record for Mg5Cd4Ga2. The X-ray diffraction stick pattern is computed, not measured: it uses a DFT-relaxed cell (PBE, Alexandria) and Cu Kα.
Peak positions follow from Bragg's law for the DFT cell and can differ from measured ones.

Main lines, low angle first (10° ≤ 2θ ≤ 80°):
hkl 1 4 0, 23.69°, 3.756 Å, intensity 35; hkl 2 2 0, 25.09°, 3.549 Å, intensity 24; hkl 0 0 1, 25.61°, 3.479 Å, intensity 65; hkl 1 4 1, 35.16°, 2.552 Å, intensity 69; hkl 3 2 0, 36.14°, 2.486 Å, intensity 100; hkl 2 3 1, 38.07°, 2.364 Å, intensity 32; hkl 1 7 0, 38.53°, 2.336 Å, intensity 33; hkl 2 6 0, 39.09°, 2.305 Å, intensity 24; hkl 3 2 1, 44.79°, 2.023 Å, intensity 29; hkl 0 0 2, 52.62°, 1.739 Å, intensity 21

Cell and atoms:
Cell lengths 7.7970, 17.1430, 3.4789 Å; angles 90.00, 90.00, 90.00 degrees
Space group Pbam (No. 55)
Inequivalent atoms, fractional coordinates:
Mg  0.0000  0.0000  0.0000 (multiplicity 2)
Mg  0.1258  0.4249  0.0000 (multiplicity 4)
Mg  0.2371  0.2174  0.0000 (multiplicity 4)
Cd  0.0799  0.8550  0.5000 (multiplicity 4)
Cd  0.2096  0.5667  0.5000 (multiplicity 4)
Ga  0.0272  0.3050  0.5000 (multiplicity 4)

=====

Q: Which formula does entry 3 have?
A: Mg5Cd4Ga2